Record 1
Theoretical powder X-ray diffraction pattern of Sm12Tl2Hg5 for Cu Kα, from DFT lattice parameters and positions (GGA-PBE).
Peak positions follow from Bragg's law for the DFT cell and can differ from measured ones.

Cell and atoms:
abc: 9.0856 9.0856 9.5862
angles: 93.57 93.57 50.76
Positions (direct):
Sm (0.0173, 0.0173, 0.2977)
Sm (0.0801, 0.5532, 0.8630)
Sm (0.0944, 0.6249, 0.4535)
Sm (0.3751, 0.9056, 0.5465)
Sm (0.4259, 0.4259, 0.1835)
Sm (0.4468, 0.9199, 0.1370)
Sm (0.5532, 0.0801, 0.8630)
Sm (0.5741, 0.5741, 0.8165)
Sm (0.6249, 0.0944, 0.4535)
Sm (0.9056, 0.3751, 0.5465)
Sm (0.9199, 0.4468, 0.1370)
Sm (0.9827, 0.9827, 0.7023)
Tl (0.2060, 0.7940, 0.0000)
Tl (0.7940, 0.2060, 0.0000)
Hg (0.1594, 0.1594, 0.8607)
Hg (0.2357, 0.2357, 0.3539)
Hg (0.5000, 0.5000, 0.5000)
Hg (0.7643, 0.7643, 0.6461)
Hg (0.8406, 0.8406, 0.1393)

The 10 most intense peaks (2θ = 10–80°), in order of falling intensity:
d (Å)  intensity
2.672  100
2.874  96
3.019  52
2.340  52
2.934  50
4.010  43
1.947  37
1.660  35
2.742  32
3.181  29



Record 2
Theoretical powder X-ray diffraction pattern of Sm4Tl2Hg for Cu Kα, from DFT lattice parameters and positions (GGA-PBE).
Peak positions follow from Bragg's law for the DFT cell and can differ from measured ones.

Cell and atoms:
abc: 7.3763 6.8014 9.3184
angles: 90.00 111.20 90.00
Positions (direct):
Sm (0.0873, 0.2500, 0.0553)
Sm (0.1729, 0.0081, 0.7284)
Sm (0.1729, 0.4919, 0.7284)
Sm (0.3239, 0.7500, 0.3432)
Sm (0.6761, 0.2500, 0.6568)
Sm (0.8271, 0.5081, 0.2716)
Sm (0.8271, 0.9919, 0.2716)
Sm (0.9127, 0.7500, 0.9447)
Tl (0.2076, 0.2500, 0.4398)
Tl (0.4309, 0.7500, 0.0393)
Tl (0.5691, 0.2500, 0.9607)
Tl (0.7924, 0.7500, 0.5602)
Hg (0.4956, 0.7500, 0.7028)
Hg (0.5044, 0.2500, 0.2972)

The 10 most intense peaks (2θ = 10–80°), in order of falling intensity:
d (Å)  intensity
2.821  100
3.069  81
2.892  69
3.032  69
3.401  67
2.558  57
2.863  51
2.678  49
2.379  49
2.742  48



Record 3
Theoretical powder X-ray diffraction pattern of Sm4Tl3Hg2 for Cu Kα, from DFT lattice parameters and positions (GGA-PBE).
Peak positions follow from Bragg's law for the DFT cell and can differ from measured ones.

Cell and atoms:
abc: 5.2504 5.2504 10.7124
angles: 90.00 90.00 120.00
Positions (direct):
Sm (0.0000, 0.0000, 0.1696)
Sm (0.0000, 0.0000, 0.8304)
Sm (0.3333, 0.6667, 0.3874)
Sm (0.6667, 0.3333, 0.6126)
Tl (0.0000, 0.0000, 0.5000)
Tl (0.3333, 0.6667, 0.0548)
Tl (0.6667, 0.3333, 0.9452)
Hg (0.3333, 0.6667, 0.7030)
Hg (0.6667, 0.3333, 0.2970)

The 10 most intense peaks (2θ = 10–80°), in order of falling intensity:
d (Å)  intensity
2.808  100
2.625  86
1.549  34
1.918  34
1.662  21
1.516  16
1.238  15
1.404  11
1.313  10
3.466  3



Record 4
Theoretical powder X-ray diffraction pattern of SmTl2Hg6 for Cu Kα, from DFT lattice parameters and positions (GGA-PBE).
Peak positions follow from Bragg's law for the DFT cell and can differ from measured ones.

Cell and atoms:
abc: 9.0341 9.0341 3.3868
angles: 90.00 90.00 120.00
Positions (direct):
Sm (0.0000, 0.0000, 0.0000)
Tl (0.3333, 0.6667, 0.0000)
Tl (0.6667, 0.3333, 0.0000)
Hg (0.0000, 0.3332, 0.5000)
Hg (0.0000, 0.6668, 0.5000)
Hg (0.3332, 0.0000, 0.5000)
Hg (0.3332, 0.3332, 0.5000)
Hg (0.6668, 0.0000, 0.5000)
Hg (0.6668, 0.6668, 0.5000)

The 10 most intense peaks (2θ = 10–80°), in order of falling intensity:
d (Å)  intensity
2.608  100
2.710  96
1.525  34
1.879  33
1.420  31
1.506  19
2.066  15
1.304  12
1.693  9
3.387  9



Record 5
Theoretical powder X-ray diffraction pattern of Sm4TmHg2 for Cu Kα, from DFT lattice parameters and positions (GGA-PBE).
Peak positions follow from Bragg's law for the DFT cell and can differ from measured ones.

Cell and atoms:
abc: 6.2623 8.2934 8.8304
angles: 98.33 103.41 106.77
Positions (direct):
Sm (0.0000, 0.0000, 0.0000)
Sm (0.0045, 0.8473, 0.6063)
Sm (0.1744, 0.4202, 0.2092)
Sm (0.2302, 0.3412, 0.8265)
Sm (0.2783, 0.8779, 0.3175)
Sm (0.4122, 0.7916, 0.9699)
Sm (0.6224, 0.0935, 0.7159)
Sm (0.7998, 0.3817, 0.4691)
Tm (0.4443, 0.6382, 0.5997)
Tm (0.8246, 0.5507, 0.9040)
Hg (0.2863, 0.2401, 0.4903)
Hg (0.5637, 0.2083, 0.0690)
Hg (0.7091, 0.6256, 0.2347)
Hg (0.7982, 0.0176, 0.3217)

The 10 most intense peaks (2θ = 10–80°), in order of falling intensity:
d (Å)  intensity
2.664  100
2.792  97
2.837  94
2.768  69
2.679  67
2.801  62
1.866  30
2.941  27
1.554  21
2.993  21



Record 6
Theoretical powder X-ray diffraction pattern of Sm2TmHg4 for Cu Kα, from DFT lattice parameters and positions (GGA-PBE).
Peak positions follow from Bragg's law for the DFT cell and can differ from measured ones.

Cell and atoms:
abc: 9.3448 9.3448 9.3448
angles: 31.71 31.71 31.71
Positions (direct):
Sm (0.2445, 0.2445, 0.2445)
Sm (0.7555, 0.7555, 0.7555)
Tm (0.0000, 0.0000, 0.0000)
Hg (0.1269, 0.1269, 0.1269)
Hg (0.3709, 0.3709, 0.3709)
Hg (0.6291, 0.6291, 0.6291)
Hg (0.8731, 0.8731, 0.8731)

The 10 most intense peaks (2θ = 10–80°), in order of falling intensity:
d (Å)  intensity
2.658  100
2.553  93
1.493  35
1.841  34
1.474  19
1.556  18
3.683  16
1.277  12
1.329  11
4.363  8